No. 1
Simulated XRD peak list
Compound: K2MnAs2
Radiation: Cu Ka
Structure: the GGA-PBE geometry in the Materials Project
Kinematic intensities with the Lorentz-polarization factor, no thermal factor.

Top 10 peaks for 5 to 70 degrees two-theta, in order of rising 2θ:
2θ/deg	Rel. int.
5.83	100.0
23.47	10.1
26.85	72.2
27.50	12.9
35.52	11.8
35.95	12.7
38.33	26.9
45.08	23.4
53.25	13.9
62.55	11.7

Structure:
```
data_K2MnAs2
_symmetry_space_group_name_H-M 'P 4/m m m'
_symmetry_Int_Tables_number 123
_symmetry_space_group_name_Hall '-P 4 2'
_cell_length_a 3.321
_cell_length_b 3.321
_cell_length_c 15.163
_cell_angle_alpha 90.00
_cell_angle_beta 90.00
_cell_angle_gamma 90.00
loop_
_atom_site_label
_atom_site_type_symbol
_atom_site_fract_x
_atom_site_fract_y
_atom_site_fract_z
K1 K 0.000 0.000 0.142
Mn1 Mn 0.000 0.000 0.500
As1 As 0.000 0.000 0.345
```

No. 2
Simulated XRD peak list
Compound: TlV5S8
Radiation: Cu Ka
Structure: the GGA-PBE geometry in the Materials Project
Kinematic intensities with the Lorentz-polarization factor, no thermal factor.

Top 10 peaks for 5 to 70 degrees two-theta, in order of rising 2θ:
2θ/deg	Rel. int.
10.41	36.7
20.93	95.1
21.51	61.2
30.45	38.7
33.52	50.1
34.86	100.0
36.20	50.4
42.89	75.3
43.05	37.6
54.84	48.2

Structure:
```
data_TlV5S8
_symmetry_space_group_name_H-M 'C 1 2/m 1'
_symmetry_Int_Tables_number 12
_cell_length_a 17.574
_cell_length_b 3.256
_cell_length_c 8.540
_cell_angle_alpha 90.00
_cell_angle_beta 104.68
_cell_angle_gamma 90.00
loop_
_symmetry_equiv_pos_as_xyz
'x,y,z'
'-x,-y,-z'
'-x,y,-z'
'x,-y,z'
'x+1/2,y+1/2,z'
'-x+1/2,-y+1/2,-z'
'-x+1/2,y+1/2,-z'
'x+1/2,-y+1/2,z'
loop_
_atom_site_label
_atom_site_type_symbol
_atom_site_fract_x
_atom_site_fract_y
_atom_site_fract_z
Tl1 Tl 0.000 0.000 0.000
V1 V 0.000 0.500 0.500
V2 V 0.148 0.000 0.496
V3 V 0.211 0.000 0.859
S1 S 0.074 0.000 0.679
S2 S 0.085 0.500 0.319
S3 S 0.161 0.500 0.000
S4 S 0.241 0.500 0.660
```

No. 3
Simulated XRD peak list
Compound: NaMg14Ti
Radiation: Cu Ka
Structure: the GGA-PBE geometry in the Materials Project
Kinematic intensities with the Lorentz-polarization factor, no thermal factor.

Top 10 peaks for 5 to 70 degrees two-theta, in order of rising 2θ:
2θ/deg	Rel. int.
32.00	24.2
32.37	12.0
35.02	37.7
36.60	100.0
36.94	48.3
48.16	14.6
57.51	16.7
63.85	17.9
69.14	18.3
69.70	13.3

Structure:
```
data_NaMg14Ti
_symmetry_space_group_name_H-M 'A m m 2'
_symmetry_Int_Tables_number 38
_cell_length_a 10.249
_cell_length_b 6.484
_cell_length_c 11.061
_cell_angle_alpha 90.00
_cell_angle_beta 90.00
_cell_angle_gamma 90.00
loop_
_symmetry_equiv_pos_as_xyz
'x,y,z'
'-x,-y,z'
'-x,y,z'
'x,-y,z'
'x,y+1/2,z+1/2'
'-x,-y+1/2,z+1/2'
'-x,y+1/2,z+1/2'
'x,-y+1/2,z+1/2'
loop_
_atom_site_label
_atom_site_type_symbol
_atom_site_fract_x
_atom_site_fract_y
_atom_site_fract_z
Na1 Na 0.000 0.000 0.000
Mg1 Mg 0.000 0.248 0.752
Mg2 Mg 0.245 0.000 0.663
Mg3 Mg 0.249 0.242 0.418
Mg4 Mg 0.252 0.000 0.169
Mg5 Mg 0.500 0.000 0.000
Mg6 Mg 0.500 0.000 0.500
Mg7 Mg 0.500 0.250 0.251
Ti1 Ti 0.000 0.000 0.498
```

No. 4
Simulated XRD peak list
Compound: TmInAg2
Radiation: Cu Ka
Structure: the GGA-PBE geometry in the Materials Project
Kinematic intensities with the Lorentz-polarization factor, no thermal factor.

Top 9 peaks for 5 to 70 degrees two-theta, in order of rising 2θ:
2θ/deg	Rel. int.
22.08	2.3
25.55	1.6
36.45	100.0
43.03	1.3
45.05	0.5
52.50	17.1
57.63	0.6
59.28	0.8
65.60	34.3

Structure:
```
data_TmInAg2
_symmetry_space_group_name_H-M 'F m -3 m'
_symmetry_Int_Tables_number 225
_symmetry_space_group_name_Hall '-F 4 2 3'
_cell_length_a 6.972
_cell_length_b 6.972
_cell_length_c 6.972
_cell_angle_alpha 90.00
_cell_angle_beta 90.00
_cell_angle_gamma 90.00
loop_
_atom_site_label
_atom_site_type_symbol
_atom_site_fract_x
_atom_site_fract_y
_atom_site_fract_z
Tm1 Tm 0.000 0.000 0.000
In1 In 0.000 0.000 0.500
Ag1 Ag 0.250 0.250 0.250
```

No. 5
Simulated XRD peak list
Compound: Li4CuP6O18
Radiation: Cu Ka
Structure: the GGA-PBE geometry in the Materials Project
Kinematic intensities with the Lorentz-polarization factor, no thermal factor.

Top 10 peaks for 5 to 70 degrees two-theta, in order of rising 2θ:
2θ/deg	Rel. int.
14.10	64.3
15.69	97.5
18.52	80.2
24.67	57.0
26.96	100.0
28.48	49.0
28.61	46.4
30.76	35.7
32.87	36.5
36.03	29.6

Structure:
```
data_Li4CuP6O18
_symmetry_space_group_name_H-M 'P 1'
_symmetry_Int_Tables_number 1
_cell_length_a 7.254
_cell_length_b 7.492
_cell_length_c 7.657
_cell_angle_alpha 107.71
_cell_angle_beta 99.29
_cell_angle_gamma 113.65
loop_
_symmetry_equiv_pos_as_xyz
'x,y,z'
loop_
_atom_site_label
_atom_site_type_symbol
_atom_site_fract_x
_atom_site_fract_y
_atom_site_fract_z
Li1 Li 0.000 0.000 0.000
Li2 Li 0.123 0.455 0.378
Li3 Li 0.264 0.903 0.689
Li4 Li 0.852 0.520 0.737
Cu1 Cu 0.432 0.400 0.982
P1 P 0.309 0.776 0.056
P2 P 0.411 0.180 0.348
P3 P 0.623 0.772 0.629
P4 P 0.658 0.158 0.085
P5 P 0.844 0.720 0.347
P6 P 0.976 0.143 0.632
O1 O 0.007 0.678 0.448
O2 O 0.139 0.772 0.911
O3 O 0.146 0.148 0.784
O4 O 0.257 0.216 0.225
O5 O 0.297 0.573 0.062
O6 O 0.332 0.922 0.271
O7 O 0.394 0.713 0.597
O8 O 0.474 0.270 0.562
O9 O 0.528 0.187 0.928
O10 O 0.539 0.906 0.037
O11 O 0.630 0.257 0.290
O12 O 0.640 0.657 0.421
O13 O 0.748 0.619 0.129
O14 O 0.748 0.740 0.781
O15 O 0.750 0.022 0.661
O16 O 0.887 0.226 0.111
O17 O 0.943 0.977 0.419
O18 O 0.998 0.342 0.615
```